The following is a calculated powder diffraction line list of NaZnGaS3O12. It was derived from a structure optimized by DFT (PBE), using λ = 1.5418 Å (Cu Kα).
Peak positions follow from Bragg's law for the DFT cell and can differ from measured ones.

Structural model:
Cell: 8.5617 8.5617 22.3356 Å, 90.00 90.00 120.00°
Space group R3c (No. 161, hexagonal axes)
One atom of each set of equivalent atoms:
Na 0.0000 0.0000 0.0000 [6 per cell]
Zn 0.0000 0.0000 0.3523 [6 per cell]
Ga 0.0000 0.0000 0.1517 [6 per cell]
S 0.0038 0.2953 0.2523 [18 per cell]
O 0.0150 0.1940 0.9122 [18 per cell]
O 0.0353 0.2144 0.1971 [18 per cell]
O 0.1457 0.4554 0.9726 [18 per cell]
O 0.1712 0.4775 0.2575 [18 per cell]

Principal peaks in the range 2θ = 10–90°, in order of rising 2θ:
hkl  2θ (°)  I (rel.)
0 1 2  14.34  22
1 0 4  19.91  37
1 1 0  20.75  48
1 1 3  23.98  100
0 2 4  28.91  33
1 1 6  31.86  74
3 0 0  36.35  30
2 2 6  49.10  28
2 1 10  52.38  16
4 1 0  56.91  19